(1)
Starting from a DFT-relaxed cell (PBE, the Materials Project), the powder diffraction line list of Y2Co7 was calculated for copper Kα.
Peak positions follow from Bragg's law for the DFT cell and can differ from measured ones.

Structural model:
Cell lengths 12.3750, 12.3750, 12.3750 Å; angles 23.14, 23.14, 23.14 degrees
Positions (direct):
Y 0.0513 0.0513 0.0513
Y 0.1479 0.1479 0.1479
Y 0.8521 0.8521 0.8521
Y 0.9487 0.9487 0.9487
Co 0.0000 0.5000 0.5000
Co 0.1101 0.6087 0.6087
Co 0.2790 0.2790 0.2790
Co 0.3883 0.3883 0.3883
Co 0.3913 0.3913 0.8899
Co 0.3913 0.8899 0.3913
Co 0.5000 0.0000 0.5000
Co 0.5000 0.5000 0.0000
Co 0.5000 0.5000 0.5000
Co 0.6087 0.1101 0.6087
Co 0.6087 0.6087 0.1101
Co 0.6117 0.6117 0.6117
Co 0.7210 0.7210 0.7210
Co 0.8899 0.3913 0.3913

The 10 most intense peaks (2θ from 10° to 90°), in order of rising 2θ:
| d [Å] | I/Imax |
| --- | --- |
| 2.765 | 22.5 |
| 2.609 | 20.9 |
| 2.482 | 33.5 |
| 2.146 | 30.2 |
| 2.134 | 9.2 |
| 2.111 | 100.0 |
| 2.006 | 20.9 |
| 1.941 | 19.2 |
| 1.350 | 21.4 |
| 1.241 | 20.8 |


(2)
Starting from a DFT-relaxed cell (PBE, the Materials Project), the powder diffraction line list of YCo was calculated for copper Kα.
Peak positions follow from Bragg's law for the DFT cell and can differ from measured ones.

Structural model:
Cell lengths 7.2096, 7.2096, 7.2096 Å; angles 31.45, 31.45, 31.45 degrees
Positions (direct):
Y 0.0874 0.0874 0.0874
Y 0.9126 0.9126 0.9126
Co 0.3326 0.3326 0.3326
Co 0.6674 0.6674 0.6674

The 10 most intense peaks (2θ from 10° to 90°), in order of rising 2θ:
| d [Å] | I/Imax |
| --- | --- |
| 6.847 | 83.6 |
| 3.340 | 31.4 |
| 2.826 | 64.5 |
| 2.612 | 100.0 |
| 2.217 | 44.5 |
| 1.954 | 71.9 |
| 1.879 | 16.2 |
| 1.565 | 19.7 |
| 1.288 | 32.0 |
| 1.221 | 16.6 |


(3)
Starting from a DFT-relaxed cell (PBE, the Materials Project), the powder diffraction line list of YCo2 was calculated for copper Kα.
Peak positions follow from Bragg's law for the DFT cell and can differ from measured ones.

Structural model:
Cell lengths 5.0408, 5.0408, 5.0408 Å; angles 60.00, 60.00, 60.00 degrees
Positions (direct):
Y 0.1250 0.1250 0.1250
Y 0.8750 0.8750 0.8750
Co 0.0000 0.5000 0.5000
Co 0.5000 0.0000 0.5000
Co 0.5000 0.5000 0.0000
Co 0.5000 0.5000 0.5000

The 8 most intense peaks (2θ from 10° to 90°), in order of rising 2θ:
| d [Å] | I/Imax |
| --- | --- |
| 2.520 | 41.5 |
| 2.149 | 100.0 |
| 2.058 | 28.1 |
| 1.782 | 0.9 |
| 1.455 | 14.3 |
| 1.372 | 29.0 |
| 1.260 | 23.1 |
| 1.127 | 6.2 |


(4)
Starting from a DFT-relaxed cell (PBE, the Materials Project), the powder diffraction line list of Y4Co3 was calculated for copper Kα.
Peak positions follow from Bragg's law for the DFT cell and can differ from measured ones.

Structural model:
Cell lengths 11.3357, 11.3357, 4.0964 Å; angles 90.00, 90.00, 120.00 degrees
Positions (direct):
Y 0.0267 0.7771 0.2484
Y 0.1362 0.5159 0.2495
Y 0.2229 0.2496 0.2484
Y 0.2496 0.0267 0.7516
Y 0.3797 0.8638 0.2495
Y 0.4841 0.6203 0.2495
Y 0.5159 0.3797 0.7505
Y 0.6203 0.1362 0.7505
Y 0.7504 0.9733 0.2484
Y 0.7771 0.7504 0.7516
Y 0.8638 0.4841 0.7505
Y 0.9733 0.2229 0.7516
Co 0.0000 0.0000 0.0000
Co 0.1582 0.7165 0.7513
Co 0.2835 0.4417 0.7513
Co 0.3333 0.6667 0.7513
Co 0.4417 0.1582 0.2487
Co 0.5583 0.8418 0.7513
Co 0.6667 0.3333 0.2487
Co 0.7165 0.5583 0.2487
Co 0.8418 0.2835 0.2487

The 10 most intense peaks (2θ from 10° to 90°), in order of rising 2θ:
| d [Å] | I/Imax |
| --- | --- |
| 2.750 | 100.0 |
| 2.723 | 28.7 |
| 2.557 | 35.3 |
| 2.331 | 15.5 |
| 2.142 | 28.7 |
| 2.048 | 19.6 |
| 1.974 | 9.8 |
| 1.637 | 9.4 |
| 1.480 | 11.6 |
| 1.468 | 23.2 |


(5)
Starting from a DFT-relaxed cell (PBE, the Materials Project), the powder diffraction line list of YZr2Co9 was calculated for copper Kα.
Peak positions follow from Bragg's law for the DFT cell and can differ from measured ones.

Structural model:
Cell lengths 8.4743, 8.4743, 8.4743 Å; angles 33.24, 33.24, 33.24 degrees
Positions (direct):
Y 0.0000 0.0000 0.0000
Zr 0.7234 0.7234 0.7234
Zr 0.8602 0.8602 0.8602
Co 0.1937 0.1937 0.1937
Co 0.2802 0.2802 0.7773
Co 0.2802 0.7773 0.2802
Co 0.3607 0.3607 0.3607
Co 0.4406 0.4406 0.9418
Co 0.4406 0.9418 0.4406
Co 0.5268 0.5268 0.5268
Co 0.7773 0.2802 0.2802
Co 0.9418 0.4406 0.4406

The 10 most intense peaks (2θ from 10° to 90°), in order of rising 2θ:
| d [Å] | I/Imax |
| --- | --- |
| 2.655 | 30.0 |
| 2.441 | 32.9 |
| 2.424 | 38.4 |
| 2.091 | 36.4 |
| 2.073 | 100.0 |
| 2.000 | 18.4 |
| 1.936 | 15.8 |
| 1.923 | 26.4 |
| 1.321 | 21.0 |
| 1.212 | 22.5 |


(6)
Starting from a DFT-relaxed cell (PBE, the Materials Project), the powder diffraction line list of Zn3Co was calculated for copper Kα.
Peak positions follow from Bragg's law for the DFT cell and can differ from measured ones.

Structural model:
Cell lengths 5.3219, 5.3219, 4.2767 Å; angles 90.00, 90.00, 120.00 degrees
Positions (direct):
Zn 0.1710 0.3421 0.2500
Zn 0.1710 0.8290 0.2500
Zn 0.3421 0.1710 0.7500
Zn 0.6579 0.8290 0.2500
Zn 0.8290 0.1710 0.7500
Zn 0.8290 0.6579 0.7500
Co 0.3333 0.6667 0.7500
Co 0.6667 0.3333 0.2500

The 10 most intense peaks (2θ from 10° to 90°), in order of rising 2θ:
| d [Å] | I/Imax |
| --- | --- |
| 3.135 | 0.8 |
| 2.304 | 24.7 |
| 2.138 | 26.4 |
| 2.029 | 100.0 |
| 1.567 | 13.9 |
| 1.330 | 15.2 |
| 1.212 | 16.7 |
| 1.152 | 2.3 |
| 1.130 | 17.6 |
| 1.113 | 12.6 |


(7)
Starting from a DFT-relaxed cell (PBE, the Materials Project), the powder diffraction line list of Zn17Co3 was calculated for copper Kα.
Peak positions follow from Bragg's law for the DFT cell and can differ from measured ones.

Structural model:
Cell lengths 11.2516, 11.2516, 7.6892 Å; angles 90.00, 90.00, 120.00 degrees
Positions (direct):
Zn 0.0000 0.5000 0.1683
Zn 0.0246 0.2106 0.4947
Zn 0.0676 0.2201 0.8513
Zn 0.0688 0.3106 0.1733
Zn 0.1085 0.4818 0.4655
Zn 0.1112 0.4812 0.8645
Zn 0.1129 0.6859 0.6667
Zn 0.1525 0.9324 0.1846
Zn 0.1566 0.7325 0.9965
Zn 0.1861 0.9754 0.8281
Zn 0.2106 0.1861 0.1614
Zn 0.2201 0.1525 0.5179
Zn 0.2418 0.9312 0.5066
Zn 0.2675 0.4240 0.6632
Zn 0.2773 0.6159 0.1732
Zn 0.3106 0.2418 0.8399
Zn 0.3141 0.4270 0.3333
Zn 0.3386 0.7227 0.5066
Zn 0.3701 0.8888 0.1978
Zn 0.3733 0.8915 0.7988
Zn 0.3841 0.6614 0.8399
Zn 0.4240 0.1566 0.3298
Zn 0.4270 0.1129 0.0000
Zn 0.4812 0.3701 0.5312
Zn 0.4818 0.3733 0.1321
Zn 0.5000 0.0000 0.5016
Zn 0.5000 0.5000 0.8350
Zn 0.5182 0.6267 0.1321
Zn 0.5188 0.6299 0.5312
Zn 0.5730 0.8871 0.0000
Zn 0.5760 0.8434 0.3298
Zn 0.6159 0.3386 0.8399
Zn 0.6267 0.1085 0.7988
Zn 0.6299 0.1112 0.1978
Zn 0.6614 0.2773 0.5066
Zn 0.6859 0.5730 0.3333
Zn 0.6894 0.7582 0.8399
Zn 0.7227 0.3841 0.1732
Zn 0.7325 0.5760 0.6632
Zn 0.7582 0.0688 0.5066
Zn 0.7799 0.8475 0.5179
Zn 0.7894 0.8139 0.1614
Zn 0.8139 0.0246 0.8281
Zn 0.8434 0.2675 0.9965
Zn 0.8475 0.0676 0.1846
Zn 0.8871 0.3141 0.6667
Zn 0.8888 0.5188 0.8645
Zn 0.8915 0.5182 0.4655
Zn 0.9312 0.6894 0.1733
Zn 0.9324 0.7799 0.8513
Zn 0.9754 0.7894 0.4947
Co 0.0000 0.0000 0.0069
Co 0.0000 0.0000 0.3402
Co 0.0000 0.0000 0.6735
Co 0.1399 0.7148 0.3357
Co 0.2852 0.4252 0.0024
Co 0.4252 0.1399 0.6691
Co 0.5748 0.8601 0.6691
Co 0.7148 0.5748 0.0024
Co 0.8601 0.2852 0.3357

The 10 most intense peaks (2θ from 10° to 90°), in order of rising 2θ:
| d [Å] | I/Imax |
| --- | --- |
| 2.550 | 12.7 |
| 2.211 | 24.3 |
| 2.147 | 22.5 |
| 2.126 | 69.6 |
| 2.104 | 100.0 |
| 2.058 | 12.8 |
| 2.049 | 12.1 |
| 1.933 | 15.3 |
| 1.496 | 10.5 |
| 1.223 | 17.7 |


(8)
Starting from a DFT-relaxed cell (PBE, the Materials Project), the powder diffraction line list of Zn3Co was calculated for copper Kα.
Peak positions follow from Bragg's law for the DFT cell and can differ from measured ones.

Structural model:
Cell lengths 4.7171, 4.7171, 4.7171 Å; angles 134.64, 134.64, 66.08 degrees
Positions (direct):
Zn 0.0000 0.0000 0.0000
Zn 0.2500 0.7500 0.5000
Zn 0.7500 0.2500 0.5000
Co 0.5000 0.5000 0.0000

The 7 most intense peaks (2θ from 10° to 90°), in order of rising 2θ:
| d [Å] | I/Imax |
| --- | --- |
| 2.156 | 100.0 |
| 1.977 | 19.0 |
| 1.819 | 28.9 |
| 1.339 | 19.5 |
| 1.286 | 8.4 |
| 1.173 | 12.4 |
| 1.104 | 20.6 |